For Tb12Pr2Ho5, a structure optimized by DFT (PBE) gives the theoretical powder diffraction line list in this record (a wavelength of 1.5418 Å).

Largest 10 diffraction maxima, sorted by position, 10 to 90 degrees two-theta:
2θ 31.11, d 2.875, intensity 23, (0 3 -1)
2θ 31.26, d 2.861, intensity 27, (0 1 3)
2θ 31.45, d 2.844, intensity 100, (2 -1 2)
2θ 31.97, d 2.800, intensity 31, (-1 1 3)
2θ 32.14, d 2.785, intensity 42, (2 1 -2)
2θ 32.27, d 2.774, intensity 41, (1 2 1)
2θ 32.93, d 2.720, intensity 39, (0 2 -4)
2θ 33.80, d 2.652, intensity 15, (-2 2 1)
2θ 57.59, d 1.601, intensity 13, (0 5 -5)
2θ 58.75, d 1.572, intensity 13, (2 3 -6)

Structural model:
a b c (Å): 6.733 8.834 11.385
angles (deg): 110.95 92.24 100.45
Fractional coordinates of all 19 atoms:
Tb 0.111 0.191 0.225
Tb 0.115 0.349 0.757
Tb 0.162 0.942 0.585
Tb 0.340 0.929 0.313
Tb 0.354 0.526 0.141
Tb 0.382 0.718 0.752
Tb 0.618 0.282 0.248
Tb 0.646 0.474 0.859
Tb 0.660 0.071 0.687
Tb 0.838 0.058 0.415
Tb 0.885 0.651 0.243
Tb 0.889 0.809 0.775
Pr 0.117 0.758 0.013
Pr 0.883 0.242 0.987
Ho 0.000 0.500 0.500
Ho 0.345 0.116 0.932
Ho 0.455 0.317 0.535
Ho 0.545 0.683 0.465
Ho 0.655 0.884 0.068